No. 1
For Na2Cd8In, a crystal structure in Alexandria, relaxed with PBE gives the computed powder diffraction line list in this record (Cu Kα).

Cell and atoms:
Cell lengths 8.0298, 16.0288, 5.5408 Å; angles 90.00, 129.21, 90.00 degrees
Space group C2/m (No. 12)
Symmetry-distinct sites (fractional):
Na 0.0000 0.1834 0.0000
Cd 0.0000 0.3008 0.5000
Cd 0.0377 0.0000 0.7882
Cd 0.2330 0.3643 0.2674
In 0.0000 0.5000 0.5000

Peak list (10 most intense, 2θ = 10–90°, low angle first)
| Position (°2θ) | d_spacing | I (rel.) |
| --- | --- | --- |
| 21.93 | 4.053 | 41 |
| 23.16 | 3.841 | 28 |
| 31.66 | 2.826 | 28 |
| 32.28 | 2.773 | 63 |
| 32.43 | 2.760 | 100 |
| 33.55 | 2.671 | 34 |
| 36.57 | 2.457 | 87 |
| 37.00 | 2.430 | 38 |
| 38.16 | 2.358 | 38 |
| 44.91 | 2.018 | 25 |

=====

No. 2
For SmDy7Er5, a crystal structure in Alexandria, relaxed with PBE gives the computed powder diffraction line list in this record (Cu Kα).

Cell and atoms:
Cell lengths 6.6672, 11.0475, 11.4958 Å; angles 90.00, 90.00, 90.00 degrees
Space group Imm2 (No. 44)
Symmetry-distinct sites (fractional):
Sm 0.0000 0.0000 0.0000
Dy 0.0000 0.0000 0.3054
Dy 0.0000 0.0000 0.6116
Dy 0.0000 0.3282 0.5526
Dy 0.0000 0.3286 0.0543
Dy 0.0000 0.5000 0.8038
Er 0.0000 0.5000 0.3024
Er 0.2333 0.2289 0.8031

Peak list (10 most intense, 2θ = 10–90°, low angle first)
| Position (°2θ) | d_spacing | I (rel.) |
| --- | --- | --- |
| 26.77 | 3.330 | 28 |
| 27.67 | 3.223 | 33 |
| 31.01 | 2.884 | 47 |
| 31.12 | 2.874 | 72 |
| 31.37 | 2.852 | 69 |
| 31.83 | 2.812 | 92 |
| 35.11 | 2.556 | 100 |
| 36.08 | 2.489 | 33 |
| 57.16 | 1.612 | 31 |
| 57.98 | 1.591 | 39 |

=====

No. 3
For Ac2Pd7Pb12, a crystal structure in Alexandria, relaxed with PBE gives the computed powder diffraction line list in this record (Cu Kα).

Cell and atoms:
Cell lengths 11.6871, 11.6871, 4.5377 Å; angles 90.00, 90.00, 120.00 degrees
Space group P-6 (No. 174)
Symmetry-distinct sites (fractional):
Ac 0.0000 0.0000 0.0000
Ac 0.3333 0.6667 0.5000
Pd 0.1015 0.4653 0.0000
Pd 0.2477 0.2022 0.5000
Pd 0.6667 0.3333 0.0000
Pb 0.0612 0.2880 0.5000
Pb 0.0912 0.6998 0.0000
Pb 0.3860 0.1648 0.0000
Pb 0.5376 0.4221 0.5000

Peak list (10 most intense, 2θ = 10–90°, low angle first)
| Position (°2θ) | d_spacing | I (rel.) |
| --- | --- | --- |
| 30.57 | 2.925 | 100 |
| 33.09 | 2.707 | 12 |
| 37.68 | 2.387 | 22 |
| 38.78 | 2.322 | 11 |
| 39.73 | 2.269 | 22 |
| 40.86 | 2.209 | 23 |
| 51.85 | 1.763 | 11 |
| 56.75 | 1.622 | 10 |
| 58.31 | 1.582 | 21 |
| 66.47 | 1.407 | 11 |

=====

No. 4
For YHoI4, a crystal structure in Alexandria, relaxed with PBE gives the computed powder diffraction line list in this record (Cu Kα).

Cell and atoms:
Cell lengths 7.1493, 4.1335, 8.3400 Å; angles 90.00, 106.30, 90.00 degrees
Space group P2/m (No. 10)
Symmetry-distinct sites (fractional):
Y 0.0000 0.0000 0.0000
Ho 0.5000 0.5000 0.0000
I 0.2488 0.5000 0.2446
I 0.2557 0.0000 0.7569

Peak list (10 most intense, 2θ = 10–90°, low angle first)
| Position (°2θ) | d_spacing | I (rel.) |
| --- | --- | --- |
| 11.05 | 8.005 | 62 |
| 25.17 | 3.538 | 23 |
| 25.99 | 3.428 | 22 |
| 29.02 | 3.077 | 100 |
| 29.14 | 3.064 | 50 |
| 39.08 | 2.305 | 22 |
| 39.22 | 2.297 | 44 |
| 43.84 | 2.065 | 48 |
| 45.32 | 2.001 | 22 |
| 53.45 | 1.714 | 27 |

=====

No. 5
For MgHW, a crystal structure in Alexandria, relaxed with PBE gives the computed powder diffraction line list in this record (Cu Kα).

Cell and atoms:
Cell lengths 2.8742, 4.4935, 5.9359 Å; angles 90.00, 102.02, 90.00 degrees
Space group P2_1/m (No. 11)
Symmetry-distinct sites (fractional):
Mg 0.1843 0.2500 0.3539
H 0.2698 0.7500 0.3196
W 0.3241 0.2500 0.8944

Peak list (10 most intense, 2θ = 10–90°, low angle first)
| Position (°2θ) | d_spacing | I (rel.) |
| --- | --- | --- |
| 15.26 | 5.806 | 100 |
| 25.06 | 3.553 | 34 |
| 32.36 | 2.766 | 24 |
| 36.86 | 2.438 | 60 |
| 37.75 | 2.383 | 47 |
| 39.72 | 2.269 | 25 |
| 40.14 | 2.247 | 26 |
| 43.52 | 2.080 | 28 |
| 51.42 | 1.777 | 18 |
| 57.74 | 1.597 | 17 |

=====

No. 6
For K6MnP4, a crystal structure in Alexandria, relaxed with PBE gives the computed powder diffraction line list in this record (Cu Kα).

Cell and atoms:
Cell lengths 9.9294, 9.9294, 7.9378 Å; angles 90.00, 90.00, 120.00 degrees
Space group P6_3mc (No. 186)
Symmetry-distinct sites (fractional):
K 0.0636 0.5318 0.0000
K 0.1446 0.2892 0.6818
Mn 0.3333 0.6667 0.3913
P 0.2111 0.4221 0.3024
P 0.3333 0.6667 0.6675

Peak list (10 most intense, 2θ = 10–90°, low angle first)
| Position (°2θ) | d_spacing | I (rel.) |
| --- | --- | --- |
| 10.29 | 8.599 | 62 |
| 15.19 | 5.833 | 41 |
| 24.71 | 3.604 | 27 |
| 29.70 | 3.008 | 100 |
| 30.66 | 2.916 | 74 |
| 33.23 | 2.696 | 47 |
| 35.50 | 2.529 | 34 |
| 36.19 | 2.482 | 59 |
| 54.60 | 1.681 | 18 |
| 58.35 | 1.582 | 25 |

=====

No. 7
For KLaHg14, a crystal structure in Alexandria, relaxed with PBE gives the computed powder diffraction line list in this record (Cu Kα).

Cell and atoms:
Cell lengths 6.9486, 6.9486, 9.0170 Å; angles 90.00, 90.00, 90.00 degrees
Space group P4/mmm (No. 123)
Symmetry-distinct sites (fractional):
K 0.0000 0.0000 0.0000
La 0.5000 0.5000 0.0000
Hg 0.0000 0.0000 0.5000
Hg 0.0000 0.5000 0.0000
Hg 0.0000 0.5000 0.5000
Hg 0.2526 0.2526 0.2596
Hg 0.5000 0.5000 0.5000

Peak list (10 most intense, 2θ = 10–90°, low angle first)
| Position (°2θ) | d_spacing | I (rel.) |
| --- | --- | --- |
| 32.54 | 2.752 | 100 |
| 36.58 | 2.457 | 37 |
| 40.00 | 2.254 | 14 |
| 52.69 | 1.737 | 13 |
| 55.31 | 1.661 | 22 |
| 63.31 | 1.469 | 30 |
| 67.96 | 1.379 | 12 |
| 68.15 | 1.376 | 12 |
| 86.83 | 1.122 | 7 |
| 89.12 | 1.099 | 6 |